[1]
This entry pairs a crystal structure of Tb5Y2Sc12 with its calculated X-ray powder pattern. Radiation: a wavelength of 1.5418 Å. Structure: a structure optimized by DFT (GGA-PBE).
Lines closer than 0.1° are merged.

Structure:
```
data_Tb5Y2Sc12
_chemical_formula_sum 'Tb10 Y4 Sc24'
_symmetry_space_group_name_H-M 'C 1 2/m 1'
_symmetry_Int_Tables_number 12
_cell_length_a 14.6894
_cell_length_b 8.6816
_cell_length_c 8.2678
_cell_angle_alpha 90.00
_cell_angle_beta 93.16
_cell_angle_gamma 90.00
loop_
_symmetry_equiv_pos_as_xyz
'x,y,z'
'-x,-y,-z'
'-x,y,-z'
'x,-y,z'
'x+1/2,y+1/2,z'
'-x+1/2,-y+1/2,-z'
'-x+1/2,y+1/2,-z'
'x+1/2,-y+1/2,z'
loop_
_atom_site_label
_atom_site_type_symbol
_atom_site_fract_x
_atom_site_fract_y
_atom_site_fract_z
_atom_site_occupancy
Tb1 Tb 0.0000 0.0000 0.0000 1
Tb2 Tb 0.2143 0.5000 0.5140 1
Tb3 Tb 0.2349 0.0000 0.0752 1
Y1 Y 0.0000 0.3212 0.5000 1
Sc1 Sc 0.0523 0.5000 0.8392 1
Sc2 Sc 0.0689 0.0000 0.3706 1
Sc3 Sc 0.1295 0.3119 0.1657 1
Sc4 Sc 0.1468 0.1776 0.7498 1
```

Peak list (10 most intense, 2θ = 10–90°, sorted by position)
hkl 1 1 -1, 2θ 15.8, 5.618 Å, I = 28.2; hkl 0 2 0, 2θ 20.5, 4.341 Å, I = 29.2; hkl 0 0 2, 2θ 21.5, 4.128 Å, I = 18.3; hkl 4 0 0, 2θ 24.3, 3.665 Å, I = 16.1; hkl 0 2 2, 2θ 29.9, 2.991 Å, I = 27.5; hkl 3 1 2, 2θ 30.9, 2.896 Å, I = 17.0; hkl 4 2 0, 2θ 31.9, 2.804 Å, I = 51.8; hkl 1 3 -1, 2θ 33.3, 2.692 Å, I = 16.8; hkl 4 0 2, 2θ 33.5, 2.674 Å, I = 100.0; hkl 1 1 -3, 2θ 34.4, 2.606 Å, I = 40.9

---

[2]
This entry pairs a crystal structure of Ba3NaSr4 with its calculated X-ray powder pattern. Radiation: a wavelength of 1.5418 Å. Structure: a structure optimized by DFT (GGA-PBE).
Lines closer than 0.1° are merged.

Structure:
```
data_Ba3NaSr4
_chemical_formula_sum 'Ba3 Na1 Sr4'
_symmetry_space_group_name_H-M 'P 4/m m m'
_symmetry_Int_Tables_number 123
_symmetry_space_group_name_Hall '-P 4 2'
_cell_length_a 4.7408
_cell_length_b 4.7408
_cell_length_c 19.9558
_cell_angle_alpha 90.00
_cell_angle_beta 90.00
_cell_angle_gamma 90.00
loop_
_atom_site_label
_atom_site_type_symbol
_atom_site_fract_x
_atom_site_fract_y
_atom_site_fract_z
_atom_site_occupancy
Ba1 Ba 0.0000 0.0000 0.0000 1
Ba2 Ba 0.0000 0.0000 0.2568 1
Na1 Na 0.0000 0.0000 0.5000 1
Sr1 Sr 0.5000 0.5000 0.1277 1
Sr2 Sr 0.5000 0.5000 0.3920 1
```

Peak list (10 most intense, 2θ = 10–90°, sorted by position)
hkl 1 0 4, 2θ 25.9, 3.437 Å, I = 100.0; hkl 1 1 0, 2θ 26.6, 3.352 Å, I = 49.5; hkl 0 0 8, 2θ 36.0, 2.494 Å, I = 9.0; hkl 2 0 0, 2θ 38.0, 2.370 Å, I = 19.1; hkl 1 1 8, 2θ 45.3, 2.001 Å, I = 18.5; hkl 2 1 4, 2θ 46.5, 1.951 Å, I = 40.2; hkl 2 0 8, 2θ 53.3, 1.718 Å, I = 11.4; hkl 3 1 0, 2θ 61.9, 1.499 Å, I = 9.0; hkl 3 1 8, 2θ 73.7, 1.285 Å, I = 8.7; hkl 3 2 4, 2θ 74.6, 1.271 Å, I = 9.9

---

[3]
This entry pairs a crystal structure of In3Se4 with its calculated X-ray powder pattern. Radiation: a wavelength of 1.5418 Å. Structure: a structure optimized by DFT (GGA-PBE).
Lines closer than 0.1° are merged.

Structure:
```
data_In3Se4
_chemical_formula_sum 'In3 Se4'
_symmetry_space_group_name_H-M 'P -4 3 m'
_symmetry_Int_Tables_number 215
_symmetry_space_group_name_Hall 'P -4 2 3'
_cell_length_a 6.0816
_cell_length_b 6.0816
_cell_length_c 6.0816
_cell_angle_alpha 90.00
_cell_angle_beta 90.00
_cell_angle_gamma 90.00
loop_
_atom_site_label
_atom_site_type_symbol
_atom_site_fract_x
_atom_site_fract_y
_atom_site_fract_z
_atom_site_occupancy
In1 In 0.0000 0.0000 0.5000 1
Se1 Se 0.2660 0.2660 0.2660 1
```

Peak list (10 most intense, 2θ = 10–90°, sorted by position)
hkl 1 1 0, 2θ 20.7, 4.300 Å, I = 14.3; hkl 1 1 1, 2θ 25.4, 3.511 Å, I = 100.0; hkl 2 1 0, 2θ 32.9, 2.720 Å, I = 15.1; hkl 2 1 1, 2θ 36.2, 2.483 Å, I = 9.7; hkl 2 2 0, 2θ 42.0, 2.150 Å, I = 74.5; hkl 3 1 1, 2θ 49.7, 1.834 Å, I = 44.6; hkl 4 0 0, 2θ 60.9, 1.520 Å, I = 11.6; hkl 3 3 1, 2θ 67.1, 1.395 Å, I = 17.4; hkl 4 2 2, 2θ 76.8, 1.241 Å, I = 22.6; hkl 5 1 1, 2θ 82.4, 1.170 Å, I = 12.6